Starting from a crystal structure in Alexandria, relaxed with PBE, the XRD peak list of CaBiO2 was simulated for λ = 1.5418 Å (Cu Kα).
Lines closer than 0.1° are merged.

Structure:
abc: 7.754 6.766 6.524
angles: 90.00 113.21 90.00
Space group P2_1/c (No. 14)
One atom of each set of equivalent atoms:
Ca  0.157  0.156  0.210 [4 per cell]
Bi  0.343  0.606  0.300 [4 per cell]
O  0.106  0.032  0.846 [4 per cell]
O  0.339  0.131  0.584 [4 per cell]

Top 10 peaks for 2θ = 10–90°, in order of rising 2θ:
| h k l | 2θ/deg | I/Imax |
| --- | --- | --- |
| 1 0 0 | 12.42 | 47 |
| 1 1 -1 | 20.03 | 85 |
| 1 1 1 | 26.40 | 35 |
| 2 1 -1 | 26.97 | 46 |
| 2 1 0 | 28.31 | 42 |
| 0 0 2 | 29.80 | 38 |
| 0 2 1 | 30.35 | 100 |
| 2 2 -1 | 35.58 | 33 |
| 2 1 1 | 36.53 | 32 |
| 1 3 -2 | 49.13 | 33 |